1.
Computed powder X-ray diffraction pattern
Compound: Ca2VO4F
Radiation: Cu Kα X-rays
Structure: a DFT-relaxed cell (GGA+U, Alexandria)
Neutral-atom scattering factors, no anomalous dispersion.

Structure:
Cell lengths 9.962, 3.097, 6.808 Å; angles 90.00, 116.22, 90.00 degrees
Space group C2/m (No. 12)
Inequivalent atoms, fractional coordinates:
Ca1 0.182 0.000 0.196 x4
V1 0.000 0.000 0.500 x2
O1 0.108 0.500 0.444 x4
O2 0.142 0.000 0.783 x4
F1 0.000 0.500 0.000 x2

Principal peaks in the range 10° ≤ 2θ ≤ 80°, in order of rising 2θ:
| index | two_theta | I/Imax |
| --- | --- | --- |
| 0 0 1 | 14.5 | 20 |
| 2 0 -2 | 27.1 | 96 |
| 2 0 1 | 29.5 | 41 |
| 1 1 0 | 30.5 | 29 |
| 1 1 1 | 35.9 | 25 |
| 3 1 -1 | 39.8 | 100 |
| 2 0 2 | 42.6 | 21 |
| 3 1 -2 | 43.1 | 48 |
| 0 0 3 | 44.5 | 25 |
| 1 1 -3 | 50.8 | 32 |
| 0 2 0 | 59.7 | 38 |
| 3 1 2 | 60.1 | 17 |

2.
Computed powder X-ray diffraction pattern
Compound: Ca5V3O12F
Radiation: Cu Kα X-rays
Structure: a DFT-relaxed cell (GGA+U, Alexandria)
Neutral-atom scattering factors, no anomalous dispersion.

Structure:
Cell lengths 6.903, 10.038, 10.038 Å; angles 60.00, 89.99, 89.98 degrees
Space group P-1 (No. 2)
Inequivalent atoms, fractional coordinates:
Ca1 0.002 0.167 0.166 x2
Ca2 0.250 0.251 0.729 x2
Ca3 0.250 0.520 0.251 x2
Ca4 0.250 0.729 0.520 x2
Ca5 0.498 0.166 0.167 x2
V1 0.250 0.095 0.528 x2
V2 0.250 0.876 0.095 x2
V3 0.251 0.528 0.876 x2
O1 0.052 0.753 0.163 x2
O2 0.053 0.165 0.584 x2
O3 0.053 0.584 0.753 x2
O4 0.249 0.006 0.160 x2
O5 0.249 0.893 0.638 x2
O6 0.250 0.160 0.334 x2
O7 0.250 0.969 0.893 x2
O8 0.251 0.334 0.006 x2
O9 0.251 0.638 0.969 x2
O10 0.447 0.752 0.165 x2
O11 0.448 0.163 0.584 x2
O12 0.448 0.584 0.752 x2
F1 0.250 0.500 0.500 x2

Principal peaks in the range 10° ≤ 2θ ≤ 80°, in order of rising 2θ:
| index | two_theta | I/Imax |
| --- | --- | --- |
| 0 1 1 | 10.2 | 13 |
| -1 1 2 | 21.9 | 19 |
| 2 0 0 | 25.8 | 33 |
| 0 3 1 | 27.1 | 14 |
| 1 1 -2 | 30.1 | 100 |
| 0 3 3 | 30.9 | 50 |
| 2 2 1 | 31.5 | 29 |
| 2 0 2 | 33.1 | 31 |
| 2 4 2 | 44.6 | 20 |
| 3 2 3 | 48.3 | 32 |
| 4 0 0 | 53.0 | 41 |
| 2 0 5 | 59.5 | 19 |

3.
Computed powder X-ray diffraction pattern
Compound: CaV8O8F8
Radiation: Cu Kα X-rays
Structure: a DFT-relaxed cell (GGA+U, Alexandria)
Neutral-atom scattering factors, no anomalous dispersion.

Structure:
Cell lengths 4.953, 5.750, 10.765 Å; angles 95.56, 91.81, 94.01 degrees
Space group P1 (No. 1)
Inequivalent atoms, fractional coordinates:
Ca1 0.000 0.000 0.000 x1
V1 0.006 0.442 0.148 x1
V2 0.063 0.578 0.857 x1
V3 0.493 0.401 0.619 x1
V4 0.494 0.667 0.398 x1
V5 0.513 0.141 0.876 x1
V6 0.520 0.924 0.169 x1
V7 0.991 0.915 0.646 x1
V8 0.996 0.169 0.394 x1
O1 0.161 0.363 0.983 x1
O2 0.289 0.664 0.224 x1
O3 0.294 0.386 0.451 x1
O4 0.303 0.148 0.700 x1
O5 0.674 0.187 0.083 x1
O6 0.694 0.948 0.331 x1
O7 0.699 0.678 0.558 x1
O8 0.847 0.909 0.808 x1
F1 0.178 0.140 0.215 x1
F2 0.184 0.897 0.467 x1
F3 0.221 0.636 0.688 x1
F4 0.374 0.825 0.959 x1
F5 0.692 0.426 0.798 x1
F6 0.793 0.704 0.092 x1
F7 0.804 0.441 0.317 x1
F8 0.805 0.191 0.564 x1

Principal peaks in the range 10° ≤ 2θ ≤ 80°, in order of rising 2θ:
| index | two_theta | I/Imax |
| --- | --- | --- |
| -1 1 1 | 24.7 | 96 |
| 1 1 1 | 26.8 | 100 |
| 1 -1 3 | 33.5 | 60 |
| 1 1 -3 | 33.7 | 36 |
| 0 2 -2 | 34.1 | 21 |
| 1 2 -2 | 39.6 | 33 |
| -1 1 5 | 49.4 | 34 |
| 1 -3 1 | 50.1 | 23 |
| -2 2 2 | 50.7 | 22 |
| 1 3 -1 | 52.6 | 20 |
| 2 2 2 | 55.2 | 23 |
| 0 2 -6 | 58.2 | 28 |

4.
Computed powder X-ray diffraction pattern
Compound: CaV8O8F8
Radiation: Cu Kα X-rays
Structure: a DFT-relaxed cell (GGA+U, Alexandria)
Neutral-atom scattering factors, no anomalous dispersion.

Structure:
Cell lengths 5.031, 5.744, 10.544 Å; angles 96.04, 92.06, 92.92 degrees
Space group P1 (No. 1)
Inequivalent atoms, fractional coordinates:
Ca1 0.000 0.000 0.000 x1
V1 0.012 0.867 0.632 x1
V2 0.024 0.561 0.844 x1
V3 0.483 0.890 0.149 x1
V4 0.495 0.625 0.379 x1
V5 0.506 0.117 0.864 x1
V6 0.522 0.350 0.600 x1
V7 0.988 0.431 0.129 x1
V8 0.998 0.122 0.375 x1
O1 0.166 0.891 0.803 x1
O2 0.183 0.140 0.547 x1
O3 0.194 0.684 0.045 x1
O4 0.312 0.892 0.310 x1
O5 0.677 0.348 0.436 x1
O6 0.823 0.572 0.682 x1
O7 0.826 0.087 0.198 x1
O8 0.845 0.333 0.935 x1
F1 0.181 0.418 0.311 x1
F2 0.320 0.648 0.553 x1
F3 0.349 0.398 0.781 x1
F4 0.371 0.195 0.064 x1
F5 0.626 0.821 0.950 x1
F6 0.660 0.599 0.205 x1
F7 0.687 0.068 0.682 x1
F8 0.811 0.833 0.448 x1

Principal peaks in the range 10° ≤ 2θ ≤ 80°, in order of rising 2θ:
| index | two_theta | I/Imax |
| --- | --- | --- |
| -1 1 1 | 24.8 | 100 |
| 1 1 1 | 26.5 | 92 |
| 1 1 -3 | 33.6 | 28 |
| 1 -1 3 | 33.8 | 29 |
| 0 2 -2 | 34.2 | 49 |
| 2 0 0 | 35.8 | 25 |
| 1 -2 2 | 38.2 | 21 |
| 1 -3 1 | 50.4 | 45 |
| 1 3 -1 | 52.1 | 23 |
| 1 1 5 | 52.4 | 21 |
| 2 2 2 | 54.6 | 22 |
| 0 2 -6 | 59.0 | 24 |